The following is a simulated X-ray diffraction stick pattern of BaTl5In. It was derived from the PBE geometry in Alexandria, using Cu Kα (weighted mean of Kα1 and Kα2).

Crystal structure
Lattice parameters (Å, degrees): 5.3541 5.3541 8.1159 90.00 90.00 90.00
Space group P4/mmm (No. 123)
Asymmetric unit:
Ba 0.0000 0.0000 0.0000
Tl 0.0000 0.5000 0.2880
Tl 0.5000 0.5000 0.0000
In 0.0000 0.0000 0.5000

Main lines, low angle first (15° ≤ 2θ ≤ 90°):
Position (°2θ), I_rel, (hkl)
23.50, 10, 1 1 0
25.97, 21, 1 1 1
32.34, 100, 1 1 2
33.11, 10, 0 0 3
33.47, 53, 2 0 0
47.80, 14, 2 0 3
48.07, 19, 2 2 0
56.95, 12, 2 0 4
59.12, 36, 3 1 2
62.23, 11, 1 1 5
80.17, 9, 4 2 0
82.29, 10, 3 1 5